[1]
Theoretical XRD peak list
Compound: Rb3FeS3
Radiation: Cu Kα (λ = 1.5418 Å)
Structure: a DFT-relaxed cell (PBE, Alexandria)
Intensities are scaled so that the largest is 100.

Lattice parameters (Å, degrees): 8.079 13.191 10.763 90.00 128.44 90.00
Space group P2_1/c (No. 14)
Unique sites:
Rb 0.115 0.135 0.468 (multiplicity 4)
Rb 0.149 0.066 0.893 (multiplicity 4)
Rb 0.369 0.703 0.601 (multiplicity 4)
Fe 0.435 0.052 0.342 (multiplicity 4)
S 0.156 0.157 0.186 (multiplicity 4)
S 0.361 0.608 0.891 (multiplicity 4)
S 0.381 0.538 0.249 (multiplicity 4)

Main lines, sorted by position (10° ≤ 2θ ≤ 90°):
2θ 22.14, intensity 42; 2θ 29.02, intensity 83; 2θ 29.31, intensity 100; 2θ 29.58, intensity 56; 2θ 30.19, intensity 62; 2θ 34.86, intensity 41

=====

[2]
Theoretical XRD peak list
Compound: TlSbPd2
Radiation: Cu Kα (λ = 1.5418 Å)
Structure: a DFT-relaxed cell (PBE, Alexandria)
Intensities are scaled so that the largest is 100.

Lattice parameters (Å, degrees): 4.428 6.236 6.796 86.27 86.66 84.44
Space group P-1 (No. 2)
Unique sites:
Tl 0.000 0.000 0.000 (multiplicity 1)
Tl 0.500 0.500 0.000 (multiplicity 1)
Sb 0.111 0.240 0.439 (multiplicity 2)
Pd 0.031 0.399 0.794 (multiplicity 2)
Pd 0.403 0.861 0.347 (multiplicity 2)

Main lines, sorted by position (10° ≤ 2θ ≤ 90°):
2θ 19.99, intensity 44; 2θ 28.07, intensity 83; 2θ 31.02, intensity 59; 2θ 32.50, intensity 74; 2θ 34.19, intensity 92; 2θ 37.41, intensity 100